# 1
Calculated XRD peak list of Er2Fe3Si5 for Cu Kα, from a crystal structure in the Materials Project, relaxed with GGA-PBE.

Cell and atoms:
a b c (Å): 10.325 10.325 5.443
angles (deg): 90.00 90.00 90.00
Space group P4/mnc (No. 128)
Unique sites:
1 Er 0.070 0.236 0.000 (multiplicity 8)
2 Fe 0.000 0.500 0.250 (multiplicity 4)
3 Fe 0.123 0.855 0.500 (multiplicity 8)
4 Si 0.000 0.000 0.265 (multiplicity 4)
5 Si 0.023 0.319 0.500 (multiplicity 8)
6 Si 0.177 0.677 0.250 (multiplicity 8)

The 10 most intense peaks (10 to 90 degrees two-theta), by angle:
2θ (°)	I (rel.)	(hkl)
25.29	33	2 1 1
31.96	100	3 1 1
32.91	28	0 0 2
35.86	34	4 1 0
38.39	28	2 1 2
39.01	26	4 2 0
39.62	51	4 1 1
41.38	55	2 2 2
54.49	25	5 3 1
58.17	18	3 1 3

# 2
Calculated XRD peak list of Er2Fe4Si9 for Cu Kα, from a crystal structure in the Materials Project, relaxed with GGA-PBE.

Cell and atoms:
a b c (Å): 3.9368 3.9368 15.9523
angles (deg): 90.00 90.00 120.00
Space group P-3m1 (No. 164)
Unique sites:
1 Er 0.3333 0.6667 0.2585 (multiplicity 2)
2 Fe 0.3333 0.6667 0.6021 (multiplicity 2)
3 Fe 0.3333 0.6667 0.9101 (multiplicity 2)
4 Si 0.0000 0.0000 0.0000 (multiplicity 1)
5 Si 0.0000 0.0000 0.1511 (multiplicity 2)
6 Si 0.0000 0.0000 0.3719 (multiplicity 2)
7 Si 0.3333 0.6667 0.0650 (multiplicity 2)
8 Si 0.3333 0.6667 0.4569 (multiplicity 2)

The 10 most intense peaks (10 to 90 degrees two-theta), by angle:
2θ (°)	I (rel.)	(hkl)
11.09	20	0 0 2
26.14	19	1 0 0
26.74	39	0 1 1
31.16	100	0 1 3
33.71	20	0 0 6
38.65	47	0 1 5
43.15	40	1 0 6
46.11	71	1 1 0
56.71	18	2 0 3
58.33	24	1 1 6

# 3
Calculated XRD peak list of Er2Fe14Si3 for Cu Kα, from a crystal structure in the Materials Project, relaxed with GGA-PBE.

Cell and atoms:
a b c (Å): 8.3055 8.3055 8.1801
angles (deg): 90.00 90.00 120.00
Space group P6_3/mmc (No. 194)
Unique sites:
1 Er 0.0000 0.0000 0.2500 (multiplicity 2)
2 Er 0.3333 0.6667 0.2500 (multiplicity 2)
3 Fe 0.0279 0.3578 0.7500 (multiplicity 12)
4 Fe 0.1679 0.3359 0.0131 (multiplicity 12)
5 Fe 0.3333 0.6667 0.6098 (multiplicity 4)
6 Si 0.0000 0.5000 0.0000 (multiplicity 6)

The 10 most intense peaks (10 to 90 degrees two-theta), by angle:
2θ (°)	I (rel.)	(hkl)
30.68	35	1 1 2
33.17	15	2 0 2
37.51	51	3 0 0
41.56	25	2 0 3
43.59	44	2 2 0
43.77	100	3 0 2
44.29	26	0 0 4
72.02	18	3 3 2
80.04	16	6 0 0
81.16	18	3 0 6

# 4
Calculated XRD peak list of Er3FeSi3 for Cu Kα, from a crystal structure in the Materials Project, relaxed with GGA-PBE.

Cell and atoms:
a b c (Å): 10.408 4.132 13.395
angles (deg): 90.00 111.13 90.00
Space group C2/m (No. 12)
Unique sites:
1 Er 0.024 0.000 0.380 (multiplicity 4)
2 Er 0.101 0.000 0.919 (multiplicity 4)
3 Er 0.248 0.000 0.230 (multiplicity 4)
4 Fe 0.247 0.500 0.415 (multiplicity 4)
5 Si 0.055 0.500 0.242 (multiplicity 4)
6 Si 0.114 0.500 0.075 (multiplicity 4)
7 Si 0.144 0.500 0.543 (multiplicity 4)

The 10 most intense peaks (10 to 90 degrees two-theta), by angle:
2θ (°)	I (rel.)	(hkl)
23.41	60	1 1 0
27.02	29	2 0 2
27.84	47	2 0 -4
33.86	59	3 1 -1
34.08	100	1 1 3
34.49	94	4 0 -2
38.76	22	3 1 -4
41.93	28	3 1 2
43.82	40	0 2 0
52.73	21	2 2 -4